This entry pairs a crystal structure of LiTa2HPd with its computed X-ray diffraction stick pattern. Radiation: Cu Ka. Structure: DFT lattice parameters and positions (GGA-PBE).
Peak positions follow from Bragg's law for the DFT cell and can differ from measured ones.

The 10 most intense peaks (2θ = 5–70°), by angle:
| two_theta | I/Imax |
| --- | --- |
| 21.52 | 29 |
| 22.13 | 10 |
| 31.50 | 23 |
| 38.47 | 100 |
| 43.84 | 18 |
| 45.15 | 32 |
| 50.54 | 13 |
| 54.98 | 10 |
| 64.75 | 22 |
| 65.76 | 10 |

Crystal structure
```
LiTa2HPd
1.0
4.0165 0.0000 0.0000
0.0000 4.0165 0.0000
0.0000 0.0000 4.1299
Li Ta H Pd
1 2 1 1
Direct
0.0000 0.0000 0.0000
0.0000 0.5000 0.5000
0.5000 0.0000 0.5000
0.0000 0.0000 0.5000
0.5000 0.5000 0.0000
```


This entry pairs a crystal structure of LiPmH4 with its computed X-ray diffraction stick pattern. Radiation: Cu Ka. Structure: DFT lattice parameters and positions (GGA-PBE).
Peak positions follow from Bragg's law for the DFT cell and can differ from measured ones.

The 10 most intense peaks (2θ = 5–70°), by angle:
| two_theta | I/Imax |
| --- | --- |
| 10.09 | 62 |
| 20.25 | 21 |
| 26.89 | 100 |
| 30.58 | 23 |
| 32.28 | 63 |
| 35.45 | 34 |
| 47.51 | 30 |
| 48.70 | 22 |
| 58.60 | 32 |
| 61.66 | 20 |

Crystal structure
```
LiPmH4
1.0
3.5811 0.0000 0.0000
0.0000 3.5811 0.0000
0.0000 0.0000 8.7692
Li Pm H
2 2 8
Direct
0.2500 0.2500 0.0953
0.7500 0.7500 0.9047
0.2500 0.2500 0.6718
0.7500 0.7500 0.3282
0.2500 0.2500 0.3250
0.2500 0.7500 0.1528
0.2500 0.7500 0.5000
0.2500 0.7500 0.8472
0.7500 0.2500 0.1528
0.7500 0.2500 0.5000
0.7500 0.2500 0.8472
0.7500 0.7500 0.6750
```


This entry pairs a crystal structure of LiPm2H12Rh3 with its computed X-ray diffraction stick pattern. Radiation: Cu Ka. Structure: DFT lattice parameters and positions (GGA-PBE).
Peak positions follow from Bragg's law for the DFT cell and can differ from measured ones.

The 10 most intense peaks (2θ = 5–70°), by angle:
| two_theta | I/Imax |
| --- | --- |
| 28.42 | 19 |
| 30.41 | 71 |
| 33.57 | 100 |
| 34.44 | 61 |
| 35.42 | 35 |
| 36.14 | 34 |
| 51.58 | 32 |
| 55.49 | 20 |
| 58.81 | 28 |
| 63.28 | 21 |

Crystal structure
```
LiPm2H12Rh3
1.0
3.1405 1.8132 4.6576
-3.1405 1.8132 4.6576
0.0000 -3.6263 4.6576
Li Pm H Rh
1 2 12 3
Direct
0.0000 0.0000 0.0000
0.3793 0.3793 0.3793
0.6207 0.6207 0.6207
0.1168 0.1168 0.6243
0.1168 0.6243 0.1168
0.1419 0.6841 0.6841
0.3160 0.3160 0.8581
0.3160 0.8581 0.3160
0.3757 0.8832 0.8832
0.6243 0.1168 0.1168
0.6841 0.1419 0.6841
0.6841 0.6841 0.1419
0.8581 0.3160 0.3160
0.8832 0.3757 0.8832
0.8832 0.8832 0.3757
0.0000 0.0000 0.5000
0.0000 0.5000 0.0000
0.5000 0.0000 0.0000
```


This entry pairs a crystal structure of LiPrH6Pt with its computed X-ray diffraction stick pattern. Radiation: Cu Ka. Structure: DFT lattice parameters and positions (GGA-PBE).
Peak positions follow from Bragg's law for the DFT cell and can differ from measured ones.

The 10 most intense peaks (2θ = 5–70°), by angle:
| two_theta | I/Imax |
| --- | --- |
| 22.29 | 35 |
| 30.04 | 100 |
| 39.11 | 33 |
| 40.39 | 10 |
| 45.47 | 6 |
| 46.61 | 10 |
| 50.09 | 25 |
| 57.48 | 22 |
| 65.32 | 22 |
| 67.11 | 10 |

Crystal structure
```
LiPrH6Pt
1.0
4.6063 0.0000 0.0000
-2.3031 3.9891 0.0000
0.0000 0.0000 4.4659
Li Pr H Pt
1 1 6 1
Direct
0.0000 0.0000 0.0000
0.6667 0.3333 0.5000
0.1760 0.3520 0.2684
0.1760 0.3520 0.7316
0.1760 0.8240 0.2684
0.1760 0.8240 0.7316
0.6480 0.8240 0.2684
0.6480 0.8240 0.7316
0.3333 0.6667 0.0000
```


This entry pairs a crystal structure of Li3H4Pt with its computed X-ray diffraction stick pattern. Radiation: Cu Ka. Structure: DFT lattice parameters and positions (GGA-PBE).
Peak positions follow from Bragg's law for the DFT cell and can differ from measured ones.

The 10 most intense peaks (2θ = 5–70°), by angle:
| two_theta | I/Imax |
| --- | --- |
| 23.36 | 100 |
| 25.40 | 55 |
| 30.44 | 34 |
| 38.71 | 43 |
| 41.06 | 25 |
| 42.30 | 14 |
| 47.77 | 16 |
| 48.93 | 18 |
| 52.18 | 23 |
| 63.31 | 14 |

Crystal structure
```
Li3H4Pt
1.0
3.9489 0.0000 0.0000
0.0000 7.6219 0.0000
0.0000 0.0000 4.3935
Li H Pt
6 8 2
Direct
0.2500 0.0038 0.2453
0.2500 0.4962 0.2453
0.2500 0.7500 0.7603
0.7500 0.2500 0.2397
0.7500 0.5038 0.7547
0.7500 0.9962 0.7547
0.2500 0.0279 0.7661
0.2500 0.2500 0.3279
0.2500 0.4721 0.7661
0.2500 0.7500 0.2497
0.7500 0.2500 0.7503
0.7500 0.5279 0.2339
0.7500 0.7500 0.6721
0.7500 0.9721 0.2339
0.2500 0.2500 0.7295
0.7500 0.7500 0.2705
```


This entry pairs a crystal structure of Li3H6Pt with its computed X-ray diffraction stick pattern. Radiation: Cu Ka. Structure: DFT lattice parameters and positions (GGA-PBE).
Peak positions follow from Bragg's law for the DFT cell and can differ from measured ones.

The 10 most intense peaks (2θ = 5–70°), by angle:
| two_theta | I/Imax |
| --- | --- |
| 22.22 | 100 |
| 22.86 | 95 |
| 32.10 | 43 |
| 39.00 | 25 |
| 39.39 | 50 |
| 40.53 | 22 |
| 45.35 | 16 |
| 51.37 | 22 |
| 52.31 | 23 |
| 61.32 | 14 |

Crystal structure
```
Li3H6Pt
1.0
3.9999 2.3094 3.1335
-3.9999 2.3094 3.1335
0.0000 -4.6187 3.1335
Li H Pt
6 12 2
Direct
0.0691 0.5797 0.7519
0.2481 0.9309 0.4203
0.4203 0.2481 0.9309
0.5797 0.7519 0.0691
0.7519 0.0691 0.5797
0.9309 0.4203 0.2481
0.0459 0.9339 0.7043
0.0661 0.2957 0.9541
0.2063 0.5546 0.4381
0.2957 0.9541 0.0661
0.4381 0.2063 0.5546
0.4454 0.5619 0.7937
0.5546 0.4381 0.2063
0.5619 0.7937 0.4454
0.7043 0.0459 0.9339
0.7937 0.4454 0.5619
0.9339 0.7043 0.0459
0.9541 0.0661 0.2957
0.0000 0.0000 0.0000
0.5000 0.5000 0.5000
```


This entry pairs a crystal structure of LiH3Pt with its computed X-ray diffraction stick pattern. Radiation: Cu Ka. Structure: DFT lattice parameters and positions (GGA-PBE).
Peak positions follow from Bragg's law for the DFT cell and can differ from measured ones.

The 10 most intense peaks (2θ = 5–70°), by angle:
| two_theta | I/Imax |
| --- | --- |
| 20.60 | 91 |
| 21.77 | 46 |
| 24.86 | 66 |
| 36.17 | 72 |
| 40.70 | 29 |
| 41.97 | 100 |
| 44.39 | 14 |
| 56.53 | 34 |
| 65.05 | 14 |
| 69.03 | 21 |

Crystal structure
```
LiH3Pt
1.0
2.4834 1.4338 4.3114
-2.4834 1.4338 4.3114
0.0000 -2.8676 4.3114
Li H Pt
2 6 2
Direct
0.1121 0.1121 0.1121
0.8879 0.8879 0.8879
0.0768 0.6810 0.4599
0.3190 0.5401 0.9232
0.4599 0.0768 0.6810
0.5401 0.9232 0.3190
0.6810 0.4599 0.0768
0.9232 0.3190 0.5401
0.3236 0.3236 0.3236
0.6764 0.6764 0.6764
```